# 1
For KBaSr2, a DFT-relaxed cell (PBE, Alexandria) gives the computed PXRD pattern in this record (Cu Kα X-rays).
Peak positions follow from Bragg's law for the DFT cell and can differ from measured ones.

Peak list (6 most intense, 2θ = 5–70°, most intense first)
2theta, d_spacing, I/Imax
25.66, 3.472, 100
6.19, 14.283, 36
24.94, 3.571, 21
44.37, 2.042, 17
45.19, 2.006, 17
36.05, 2.491, 16

Crystal structure
a b c (Å): 4.2356 4.2356 14.2831
angles (deg): 90.00 90.00 110.39
Fractional coordinates of all 4 atoms:
K1 0.0000 0.0000 0.0000
Ba1 0.0000 0.0000 0.5000
Sr1 0.5000 0.5000 0.2587
Sr2 0.5000 0.5000 0.7413

***

# 2
For KBa2Sr5, a DFT-relaxed cell (PBE, Alexandria) gives the computed PXRD pattern in this record (Cu Kα X-rays).
Peak positions follow from Bragg's law for the DFT cell and can differ from measured ones.

Peak list (6 most intense, 2θ = 5–70°, most intense first)
2theta, d_spacing, I/Imax
24.43, 3.644, 100
22.31, 3.984, 81
31.09, 2.877, 63
8.90, 9.940, 53
27.85, 3.204, 43
26.91, 3.313, 38

Crystal structure
a b c (Å): 13.2423 13.2423 19.8794
angles (deg): 90.00 90.00 162.49
Fractional coordinates of all 16 atoms:
K1 0.1400 0.8600 0.7500
K2 0.8600 0.1400 0.2500
Ba1 0.1250 0.8750 0.0560
Ba2 0.1250 0.8750 0.4440
Ba3 0.8750 0.1250 0.5560
Ba4 0.8750 0.1250 0.9440
Sr1 0.0266 0.9734 0.6040
Sr2 0.0266 0.9734 0.8960
Sr3 0.1858 0.8142 0.2500
Sr4 0.2323 0.7677 0.5909
Sr5 0.2323 0.7677 0.9091
Sr6 0.7677 0.2323 0.0909
Sr7 0.7677 0.2323 0.4091
Sr8 0.8142 0.1858 0.7500
Sr9 0.9734 0.0266 0.1040
Sr10 0.9734 0.0266 0.3960

***

# 3
For KBa6Sr5, a DFT-relaxed cell (PBE, Alexandria) gives the computed PXRD pattern in this record (Cu Kα X-rays).
Peak positions follow from Bragg's law for the DFT cell and can differ from measured ones.

Peak list (6 most intense, 2θ = 5–70°, most intense first)
2theta, d_spacing, I/Imax
24.66, 3.610, 100
28.71, 3.110, 34
48.47, 1.878, 31
40.71, 2.217, 26
28.24, 3.160, 18
47.88, 1.900, 16

Crystal structure
a b c (Å): 11.7557 11.7557 11.7557
angles (deg): 149.30 116.16 72.50
Fractional coordinates of all 12 atoms:
K1 0.0000 0.0000 0.0000
Ba1 0.0837 0.8321 0.2516
Ba2 0.2532 0.5000 0.7532
Ba3 0.4196 0.1679 0.2516
Ba4 0.5804 0.8321 0.7484
Ba5 0.7468 0.5000 0.2468
Ba6 0.9163 0.1679 0.7484
Sr1 0.1703 0.6703 0.5000
Sr2 0.3344 0.3344 0.0000
Sr3 0.5000 0.0000 0.5000
Sr4 0.6656 0.6656 0.0000
Sr5 0.8297 0.3297 0.5000

***

# 4
For K6Ba16Sr7, a DFT-relaxed cell (PBE, Alexandria) gives the computed PXRD pattern in this record (Cu Kα X-rays).
Peak positions follow from Bragg's law for the DFT cell and can differ from measured ones.

Peak list (6 most intense, 2θ = 5–70°, most intense first)
2theta, d_spacing, I/Imax
24.97, 3.565, 100
26.14, 3.409, 51
22.91, 3.882, 46
8.77, 10.085, 34
43.99, 2.059, 28
29.03, 3.076, 27

Crystal structure
a b c (Å): 14.2618 14.2618 14.2618
angles (deg): 60.00 60.00 60.00
Fractional coordinates of all 29 atoms:
K1 0.2161 0.2161 0.7839
K2 0.2161 0.7839 0.2161
K3 0.2161 0.7839 0.7839
K4 0.7839 0.2161 0.2161
K5 0.7839 0.2161 0.7839
K6 0.7839 0.7839 0.2161
Ba1 0.1412 0.6196 0.6196
Ba2 0.1720 0.1720 0.1720
Ba3 0.1720 0.1720 0.4840
Ba4 0.1720 0.4840 0.1720
Ba5 0.3804 0.3804 0.3804
Ba6 0.3804 0.3804 0.8588
Ba7 0.3804 0.8588 0.3804
Ba8 0.4840 0.1720 0.1720
Ba9 0.5160 0.8280 0.8280
Ba10 0.6196 0.1412 0.6196
Ba11 0.6196 0.6196 0.1412
Ba12 0.6196 0.6196 0.6196
Ba13 0.8280 0.5160 0.8280
Ba14 0.8280 0.8280 0.5160
Ba15 0.8280 0.8280 0.8280
Ba16 0.8588 0.3804 0.3804
Sr1 0.0000 0.0000 0.5000
Sr2 0.0000 0.5000 0.0000
Sr3 0.0000 0.5000 0.5000
Sr4 0.5000 0.0000 0.0000
Sr5 0.5000 0.0000 0.5000
Sr6 0.5000 0.5000 0.0000
Sr7 0.5000 0.5000 0.5000

***

# 5
For K2BaTc, a DFT-relaxed cell (PBE, Alexandria) gives the computed PXRD pattern in this record (Cu Kα X-rays).
Peak positions follow from Bragg's law for the DFT cell and can differ from measured ones.

Peak list (6 most intense, 2θ = 5–70°, most intense first)
2theta, d_spacing, I/Imax
7.51, 11.769, 100
26.94, 3.310, 45
31.94, 2.802, 27
37.95, 2.371, 17
31.56, 2.835, 13
31.66, 2.826, 13

Crystal structure
a b c (Å): 4.0030 4.0030 11.7689
angles (deg): 90.00 90.00 90.18
Fractional coordinates of all 4 atoms:
K1 0.0000 0.0000 0.0000
K2 0.5000 0.5000 0.3374
Ba1 0.5000 0.5000 0.6806
Tc1 0.0000 0.0000 0.5323

***

# 6
For KBaTe2, a DFT-relaxed cell (PBE, Alexandria) gives the computed PXRD pattern in this record (Cu Kα X-rays).
Peak positions follow from Bragg's law for the DFT cell and can differ from measured ones.

Peak list (6 most intense, 2θ = 5–70°, most intense first)
2theta, d_spacing, I/Imax
27.22, 3.276, 100
38.86, 2.317, 57
56.11, 1.639, 19
63.44, 1.466, 18
52.32, 1.749, 16
67.03, 1.396, 15

Crystal structure
a b c (Å): 7.5684 7.5684 7.5684
angles (deg): 104.41 104.41 120.14
Fractional coordinates of all 8 atoms:
K1 0.0000 0.0000 0.0000
K2 0.7500 0.2500 0.5000
Ba1 0.2500 0.7500 0.5000
Ba2 0.5000 0.5000 0.0000
Te1 0.1229 0.6250 0.9979
Te2 0.3750 0.3729 0.4979
Te3 0.6271 0.1250 0.0021
Te4 0.8750 0.8771 0.5021

***

# 7
For K3BaTh2Te6, a DFT-relaxed cell (PBE, Alexandria) gives the computed PXRD pattern in this record (Cu Kα X-rays).
Peak positions follow from Bragg's law for the DFT cell and can differ from measured ones.

Peak list (6 most intense, 2θ = 5–70°, most intense first)
2theta, d_spacing, I/Imax
26.12, 3.412, 100
10.63, 8.319, 44
36.51, 2.461, 25
38.00, 2.368, 23
35.77, 2.510, 13
47.31, 1.921, 13

Crystal structure
a b c (Å): 10.9501 10.9501 10.0578
angles (deg): 106.43 106.43 24.51
Fractional coordinates of all 12 atoms:
K1 0.0000 0.0000 0.0000
K2 0.3393 0.3393 0.6653
K3 0.6607 0.6607 0.3347
Ba1 0.0000 0.0000 0.5000
Th1 0.3313 0.3313 0.1610
Th2 0.6687 0.6687 0.8390
Te1 0.1705 0.1705 0.6219
Te2 0.1751 0.1751 0.0645
Te3 0.4826 0.4826 0.2397
Te4 0.5174 0.5174 0.7603
Te5 0.8249 0.8249 0.9355
Te6 0.8295 0.8295 0.3781

***

# 8
For KBa5Tl3, a DFT-relaxed cell (PBE, Alexandria) gives the computed PXRD pattern in this record (Cu Kα X-rays).
Peak positions follow from Bragg's law for the DFT cell and can differ from measured ones.

Peak list (6 most intense, 2θ = 5–70°, most intense first)
2theta, d_spacing, I/Imax
29.08, 3.071, 100
27.57, 3.236, 90
53.99, 1.698, 35
50.62, 1.803, 31
40.50, 2.228, 31
36.63, 2.453, 30

Crystal structure
a b c (Å): 10.6389 10.6389 8.1535
angles (deg): 90.00 90.00 120.00
Fractional coordinates of all 18 atoms:
K1 0.0000 0.0000 0.0000
K2 0.0000 0.0000 0.5000
Ba1 0.0000 0.3208 0.2500
Ba2 0.0000 0.6792 0.7500
Ba3 0.3208 0.0000 0.2500
Ba4 0.3208 0.3208 0.7500
Ba5 0.3333 0.6667 0.0000
Ba6 0.3333 0.6667 0.5000
Ba7 0.6667 0.3333 0.0000
Ba8 0.6667 0.3333 0.5000
Ba9 0.6792 0.0000 0.7500
Ba10 0.6792 0.6792 0.2500
Tl1 0.0000 0.3492 0.7500
Tl2 0.0000 0.6508 0.2500
Tl3 0.3492 0.0000 0.7500
Tl4 0.3492 0.3492 0.2500
Tl5 0.6508 0.0000 0.2500
Tl6 0.6508 0.6508 0.7500

***

# 9
For KBa2Y, a DFT-relaxed cell (PBE, Alexandria) gives the computed PXRD pattern in this record (Cu Kα X-rays).
Peak positions follow from Bragg's law for the DFT cell and can differ from measured ones.

Peak list (6 most intense, 2θ = 5–70°, most intense first)
2theta, d_spacing, I/Imax
26.84, 3.322, 100
6.43, 13.755, 43
27.06, 3.295, 27
47.68, 1.907, 20
30.58, 2.923, 20
25.91, 3.439, 20

Crystal structure
a b c (Å): 4.0296 4.0296 13.7548
angles (deg): 90.00 90.00 109.69
Fractional coordinates of all 4 atoms:
K1 0.0000 0.0000 0.0000
Ba1 0.5000 0.5000 0.2815
Ba2 0.5000 0.5000 0.7185
Y1 0.0000 0.0000 0.5000

***

# 10
For BaLa4, a DFT-relaxed cell (PBE, Alexandria) gives the computed PXRD pattern in this record (Cu Kα X-rays).
Peak positions follow from Bragg's law for the DFT cell and can differ from measured ones.

Peak list (6 most intense, 2θ = 5–70°, most intense first)
2theta, d_spacing, I/Imax
29.77, 3.001, 100
42.61, 2.122, 75
25.71, 3.465, 73
50.43, 1.810, 35
52.84, 1.733, 27
14.76, 6.002, 20

Crystal structure
a b c (Å): 6.0018 6.0018 6.0018
angles (deg): 90.00 90.00 90.00
Fractional coordinates of all 5 atoms:
Ba1 0.0000 0.0000 0.0000
La1 0.0000 0.0000 0.5000
La2 0.0000 0.5000 0.0000
La3 0.5000 0.0000 0.0000
La4 0.5000 0.5000 0.5000

***

# 11
For Ba3La, a DFT-relaxed cell (PBE, Alexandria) gives the computed PXRD pattern in this record (Cu Kα X-rays).
Peak positions follow from Bragg's law for the DFT cell and can differ from measured ones.

Peak list (6 most intense, 2θ = 5–70°, most intense first)
2theta, d_spacing, I/Imax
26.41, 3.375, 100
26.58, 3.353, 98
46.72, 1.944, 42
37.82, 2.379, 38
46.61, 1.949, 21
47.03, 1.932, 21

Crystal structure
a b c (Å): 7.9127 7.9127 7.9127
angles (deg): 117.09 117.09 117.09
Fractional coordinates of all 4 atoms:
Ba1 0.0000 0.5000 0.5000
Ba2 0.5000 0.0000 0.5000
Ba3 0.5000 0.5000 0.0000
La1 0.0000 0.0000 0.0000

***

# 12
For BaLa6, a DFT-relaxed cell (PBE, Alexandria) gives the computed PXRD pattern in this record (Cu Kα X-rays).
Peak positions follow from Bragg's law for the DFT cell and can differ from measured ones.

Peak list (6 most intense, 2θ = 5–70°, most intense first)
2theta, d_spacing, I/Imax
25.98, 3.430, 100
40.16, 2.245, 63
21.15, 4.200, 41
37.07, 2.425, 38
43.07, 2.100, 35
62.55, 1.485, 23

Crystal structure
a b c (Å): 7.2753 7.2753 7.2753
angles (deg): 109.47 109.47 109.47
Fractional coordinates of all 7 atoms:
Ba1 0.0000 0.0000 0.0000
La1 0.2500 0.5000 0.7500
La2 0.2500 0.7500 0.5000
La3 0.5000 0.2500 0.7500
La4 0.5000 0.7500 0.2500
La5 0.7500 0.2500 0.5000
La6 0.7500 0.5000 0.2500